Diffraction record for CrBi2O5. The powder diffraction line list is simulated, not measured: it uses a cell relaxed with PBE+U and Cu Kα X-rays.
No peak broadening, texture or thermal motion is included.

Atomic structure:
a = 5.663 Å, b = 5.663 Å, c = 5.501 Å
α = 114.92°, β = 114.92°, γ = 97.75°
Fractional positions:
Cr: 0.000 0.000 0.000
Bi: 0.310 0.753 0.628
Bi: 0.753 0.310 0.628
O: 0.028 0.028 0.702
O: 0.189 0.720 0.943
O: 0.269 0.269 0.399
O: 0.715 0.715 0.908
O: 0.720 0.189 0.943

The 8 most intense peaks (2θ = 10–80°), by angle:
2theta	I/Imax
20.82	671
21.03	1000
23.92	633
29.77	927
31.27	580
31.92	713
32.83	511
37.87	424